# LiCoPO4
Computed powder X-ray diffraction pattern, Cu Ka. Input: a structure optimized by DFT (PBE+U).
Lines closer than 0.1° are merged.

Structural model:
```
data_LiCoPO4
_chemical_formula_sum 'Li4 Co4 P4 O16'
_space_group_name_H-M_alt 'C 1 c 1'
_space_group_IT_number 9
_cell_length_a 8.5568
_cell_length_b 5.0556
_cell_length_c 8.4795
_cell_angle_alpha 90.00
_cell_angle_beta 107.40
_cell_angle_gamma 90.00
loop_
_space_group_symop_operation_xyz
'x,y,z'
'x,-y,z+1/2'
'x+1/2,y+1/2,z'
'x+1/2,-y+1/2,z+1/2'
loop_
_atom_site_label
_atom_site_fract_x
_atom_site_fract_y
_atom_site_fract_z
Li1 0.0000 0.1798 0.0000
Co1 0.2430 0.3101 0.7443
P1 0.3705 0.1924 0.1217
O1 0.0278 0.1923 0.5915
O2 0.2208 0.2527 0.9688
O3 0.3368 0.3245 0.2743
O4 0.3967 0.1099 0.6523
```

Top 12 peaks for 15° ≤ 2θ ≤ 90°, sorted by position:
- 21.81°, I 100.0
- 21.97°, I 36.8
- 27.80°, I 13.7
- 35.56°, I 38.8
- 36.18°, I 15.2
- 36.43°, I 15.2
- 38.28°, I 7.4
- 42.04°, I 14.8
- 43.59°, I 6.7
- 53.38°, I 7.5
- 64.17°, I 7.5
- 64.66°, I 6.3